(1)
The following is a simulated powder diffractogram of Tb4YSb5. It was derived from a crystal structure in Alexandria, relaxed with PBE, using Cu Kα.
Intensities are scaled so that the largest is 100.

Crystal structure
```
data_Tb4YSb5
_chemical_formula_sum 'Tb8 Y2 Sb10'
_space_group_name_H-M_alt 'I m m m'
_space_group_IT_number 71
_space_group_name_Hall '-I 2 2'
_cell_length_a 4.402
_cell_length_b 6.220
_cell_length_c 21.995
_cell_angle_alpha 90.00
_cell_angle_beta 90.00
_cell_angle_gamma 90.00
loop_
_atom_site_label
_atom_site_fract_x
_atom_site_fract_y
_atom_site_fract_z
_atom_site_occupancy
Tb1 0.000 0.000 0.100 1
Tb2 0.000 0.000 0.300 1
Y1 0.000 0.000 0.500 1
Sb1 0.000 0.500 0.100 1
Sb2 0.000 0.500 0.300 1
Sb3 0.000 0.500 0.500 1
```

Most intense lines, 2θ = 5–70°, in order of rising 2θ:
d/Å, 2θ/deg, Rel. int., h k l
10.998, 8.04, 1, 0 0 2
5.985, 14.80, 1, 0 1 1
3.592, 24.78, 1, 1 1 0
3.111, 28.70, 100, 1 0 5
2.200, 41.03, 76, 2 0 0
1.876, 48.53, 1, 2 1 5
1.796, 50.83, 27, 2 2 0
1.556, 59.42, 13, 2 0 10
1.391, 67.30, 35, 3 0 5

=====

(2)
The following is a simulated powder diffractogram of Pm3AgPd. It was derived from a crystal structure in Alexandria, relaxed with PBE, using Cu Kα.
Intensities are scaled so that the largest is 100.

Crystal structure
```
data_Pm3AgPd
_chemical_formula_sum 'Pm12 Ag4 Pd4'
_space_group_name_H-M_alt 'P 1 21/c 1'
_space_group_IT_number 14
_space_group_name_Hall '-P 2ybc'
_cell_length_a 9.207
_cell_length_b 7.690
_cell_length_c 8.394
_cell_angle_alpha 90.00
_cell_angle_beta 107.17
_cell_angle_gamma 90.00
loop_
_atom_site_label
_atom_site_fract_x
_atom_site_fract_y
_atom_site_fract_z
_atom_site_occupancy
Pm1 0.072 0.005 0.216 1
Pm2 0.305 0.151 0.620 1
Pm3 0.358 0.676 0.492 1
Ag1 0.063 0.673 0.035 1
Pd1 0.413 0.039 0.322 1
```

Most intense lines, 2θ = 5–70°, in order of rising 2θ:
d/Å, 2θ/deg, Rel. int., h k l
3.376, 26.40, 26, 1 2 -1
3.206, 27.83, 29, 2 1 -2
3.032, 29.46, 27, 1 1 2
2.932, 30.49, 32, 3 0 0
2.844, 31.46, 30, 3 1 -1
2.775, 32.26, 57, 0 2 2
2.628, 34.12, 100, 1 1 -3
2.568, 34.94, 57, 2 2 1
2.409, 37.33, 58, 1 3 -1
2.398, 37.51, 28, 3 1 1

=====

(3)
The following is a simulated powder diffractogram of PmIF. It was derived from a crystal structure in Alexandria, relaxed with PBE, using Cu Kα.
Intensities are scaled so that the largest is 100.

Crystal structure
```
data_PmIF
_chemical_formula_sum 'Pm2 I2 F2'
_space_group_name_H-M_alt 'P 1 m 1'
_space_group_IT_number 6
_space_group_name_Hall 'P -2y'
_cell_length_a 6.115
_cell_length_b 4.175
_cell_length_c 6.458
_cell_angle_alpha 90.00
_cell_angle_beta 90.50
_cell_angle_gamma 90.00
loop_
_atom_site_label
_atom_site_fract_x
_atom_site_fract_y
_atom_site_fract_z
_atom_site_occupancy
Pm1 0.000 0.000 0.000 1
Pm2 0.225 0.500 0.460 1
I1 0.516 0.000 0.205 1
I2 0.749 0.500 0.684 1
F1 0.102 0.500 0.100 1
F2 0.223 0.000 0.713 1
```

Most intense lines, 2θ = 5–70°, in order of rising 2θ:
d/Å, 2θ/deg, Rel. int., h k l
4.460, 19.91, 31, 1 0 -1
3.506, 25.40, 100, 0 1 1
3.049, 29.29, 25, 1 1 -1
3.035, 29.43, 45, 1 1 1
2.845, 31.44, 38, 1 0 2
2.773, 32.29, 41, 2 0 -1
2.754, 32.51, 26, 2 0 1
2.467, 36.42, 67, 2 1 0
2.363, 38.09, 37, 1 1 -2
2.087, 43.35, 26, 0 2 0

=====

(4)
The following is a simulated powder diffractogram of Na3U3Se8. It was derived from a crystal structure in Alexandria, relaxed with PBE, using Cu Kα.
Intensities are scaled so that the largest is 100.

Crystal structure
```
data_Na3U3Se8
_chemical_formula_sum 'Na9 U9 Se24'
_space_group_name_H-M_alt 'R -3 m'
_space_group_IT_number 166
_space_group_name_Hall '-R 3 2"'
_cell_length_a 8.5005
_cell_length_b 8.5005
_cell_length_c 21.1750
_cell_angle_alpha 90.00
_cell_angle_beta 90.00
_cell_angle_gamma 120.00
loop_
_atom_site_label
_atom_site_fract_x
_atom_site_fract_y
_atom_site_fract_z
_atom_site_occupancy
Na1 0.0000 0.0000 0.0000 1
Na2 0.0000 0.0000 0.3791 1
U1 0.0000 0.5000 0.5000 1
Se1 0.0000 0.0000 0.2383 1
Se2 0.0283 0.5141 0.7630 1
```

Most intense lines, 2θ = 5–70°, in order of rising 2θ:
d/Å, 2θ/deg, Rel. int., h k l
7.058, 12.54, 93, 0 0 3
6.953, 12.73, 33, 1 0 1
3.641, 24.45, 17, 1 1 3
3.626, 24.55, 41, 0 2 1
3.022, 29.56, 100, 0 2 4
2.337, 38.52, 33, 0 2 7
2.149, 42.05, 39, 2 0 8
2.125, 42.54, 44, 2 2 0
2.035, 44.53, 29, 2 2 3
1.738, 52.65, 19, 4 0 4

=====

(5)
The following is a simulated powder diffractogram of La4PmDy15. It was derived from a crystal structure in Alexandria, relaxed with PBE, using Cu Kα.
Intensities are scaled so that the largest is 100.

Crystal structure
```
data_La4PmDy15
_chemical_formula_sum 'La4 Pm1 Dy15'
_space_group_name_H-M_alt 'P 4/m m m'
_space_group_IT_number 123
_space_group_name_Hall '-P 4 2'
_cell_length_a 5.093
_cell_length_b 5.093
_cell_length_c 25.270
_cell_angle_alpha 90.00
_cell_angle_beta 90.00
_cell_angle_gamma 90.00
loop_
_atom_site_label
_atom_site_fract_x
_atom_site_fract_y
_atom_site_fract_z
_atom_site_occupancy
La1 0.000 0.000 0.100 1
La2 0.000 0.000 0.300 1
Pm1 0.000 0.000 0.500 1
Dy1 0.000 0.500 0.000 1
Dy2 0.000 0.500 0.201 1
Dy3 0.000 0.500 0.401 1
Dy4 0.500 0.500 0.100 1
Dy5 0.500 0.500 0.301 1
Dy6 0.500 0.500 0.500 1
```

Most intense lines, 2θ = 5–70°, in order of rising 2θ:
d/Å, 2θ/deg, Rel. int., h k l
2.933, 30.48, 100, 1 1 5
2.546, 35.25, 34, 2 0 0
2.527, 35.53, 17, 0 0 10
1.800, 50.70, 12, 2 2 0
1.794, 50.91, 24, 2 0 10
1.534, 60.32, 29, 3 1 5
1.526, 60.69, 14, 1 1 15
1.466, 63.44, 12, 2 2 10

=====

(6)
The following is a simulated powder diffractogram of Nd3AsO6. It was derived from a crystal structure in Alexandria, relaxed with PBE, using Cu Kα.
Intensities are scaled so that the largest is 100.

Crystal structure
```
data_Nd3AsO6
_chemical_formula_sum 'Nd12 As4 O24'
_space_group_name_H-M_alt 'C m c 21'
_space_group_IT_number 36
_space_group_name_Hall 'C 2c -2'
_cell_length_a 9.217
_cell_length_b 11.558
_cell_length_c 6.108
_cell_angle_alpha 90.00
_cell_angle_beta 90.00
_cell_angle_gamma 90.00
loop_
_atom_site_label
_atom_site_fract_x
_atom_site_fract_y
_atom_site_fract_z
_atom_site_occupancy
Nd1 0.000 0.097 0.000 1
Nd2 0.196 0.391 0.963 1
As1 0.000 0.326 0.411 1
O1 0.000 0.280 0.870 1
O2 0.000 0.459 0.237 1
O3 0.150 0.248 0.283 1
O4 0.163 0.011 0.734 1
```

Most intense lines, 2θ = 5–70°, in order of rising 2θ:
d/Å, 2θ/deg, Rel. int., h k l
4.660, 19.05, 16, 1 1 1
3.103, 28.77, 100, 2 2 1
3.072, 29.06, 30, 1 3 1
3.054, 29.24, 25, 0 0 2
2.969, 30.10, 13, 3 1 0
2.129, 42.46, 22, 3 1 2
2.099, 43.10, 20, 0 4 2
1.847, 49.33, 15, 3 5 0
1.773, 51.56, 15, 2 2 3
1.605, 57.43, 13, 5 3 1